# 1
Ac2InCu6Ni: computed powder X-ray diffraction pattern (CuKα), based on a crystal structure in Alexandria, relaxed with PBE.
Neutral-atom scattering factors, no anomalous dispersion.

Structure:
a b c (Å): 9.488 9.488 6.710
angles (deg): 90.00 134.91 90.00
Space group C2/m (No. 12)
Asymmetric unit:
Ac1 0.000 0.250 0.000 [4 per cell]
In1 0.000 0.000 0.500 [2 per cell]
Cu1 0.000 0.264 0.500 [4 per cell]
Cu2 0.236 0.500 0.500 [4 per cell]
Cu3 0.236 0.500 0.971 [4 per cell]
Ni1 0.000 0.500 0.500 [2 per cell]

The 10 most intense peaks (10 to 80 degrees two-theta), in order of rising 2θ:
2θ = 26.56°, d 3.357, rel. 1000; 2θ = 32.67°, d 2.741, rel. 740; 2θ = 37.91°, d 2.373, rel. 883; 2θ = 46.88°, d 1.938, rel. 426; 2θ = 54.69°, d 1.678, rel. 588; 2θ = 61.84°, d 1.500, rel. 123; 2θ = 65.14°, d 1.432, rel. 141; 2θ = 65.22°, d 1.430, rel. 141; 2θ = 68.47°, d 1.370, rel. 192; 2θ = 74.88°, d 1.268, rel. 138

=====

# 2
Nd6Mg5Pb: computed powder X-ray diffraction pattern (CuKα), based on a crystal structure in Alexandria, relaxed with PBE.
Neutral-atom scattering factors, no anomalous dispersion.

Structure:
a b c (Å): 5.511 16.604 7.749
angles (deg): 90.00 90.00 90.00
Space group Cmmm (No. 65)
Asymmetric unit:
Nd1 0.000 0.000 0.249 [4 per cell]
Nd2 0.000 0.333 0.245 [8 per cell]
Mg1 0.000 0.166 0.000 [4 per cell]
Mg2 0.000 0.172 0.500 [4 per cell]
Mg3 0.000 0.500 0.000 [2 per cell]
Pb1 0.000 0.500 0.500 [2 per cell]

The 10 most intense peaks (10 to 80 degrees two-theta), in order of rising 2θ:
2θ = 22.77°, d 3.905, rel. 196; 2θ = 22.95°, d 3.874, rel. 96; 2θ = 32.35°, d 2.767, rel. 203; 2θ = 32.54°, d 2.751, rel. 1000; 2θ = 46.51°, d 1.953, rel. 148; 2θ = 57.83°, d 1.594, rel. 154; 2θ = 58.01°, d 1.590, rel. 153; 2θ = 58.17°, d 1.586, rel. 151; 2θ = 68.19°, d 1.375, rel. 93; 2θ = 77.35°, d 1.234, rel. 99

=====

# 3
Sr4Hg3Bi2: computed powder X-ray diffraction pattern (CuKα), based on a crystal structure in Alexandria, relaxed with PBE.
Neutral-atom scattering factors, no anomalous dispersion.

Structure:
a b c (Å): 9.325 5.376 12.373
angles (deg): 90.00 90.14 90.00
Space group C2/m (No. 12)
Asymmetric unit:
Sr1 0.000 0.000 0.153 [4 per cell]
Sr2 0.167 0.500 0.392 [4 per cell]
Hg1 0.000 0.000 0.500 [2 per cell]
Hg2 0.167 0.500 0.003 [4 per cell]
Bi1 0.166 0.500 0.705 [4 per cell]

The 10 most intense peaks (10 to 80 degrees two-theta), in order of rising 2θ:
2θ = 20.37°, d 4.360, rel. 252; 2θ = 28.91°, d 3.088, rel. 1000; 2θ = 33.31°, d 2.690, rel. 833; 2θ = 34.81°, d 2.577, rel. 118; 2θ = 44.63°, d 2.031, rel. 202; 2θ = 44.71°, d 2.027, rel. 187; 2θ = 56.80°, d 1.621, rel. 97; 2θ = 56.87°, d 1.619, rel. 194; 2θ = 59.52°, d 1.553, rel. 160; 2θ = 69.94°, d 1.345, rel. 100

=====

# 4
GdTmAl4: computed powder X-ray diffraction pattern (CuKα), based on a crystal structure in Alexandria, relaxed with PBE.
Neutral-atom scattering factors, no anomalous dispersion.

Structure:
a b c (Å): 7.849 7.849 7.849
angles (deg): 90.00 90.00 90.00
Space group F-43m (No. 216)
Asymmetric unit:
Gd1 0.000 0.000 0.000 [4 per cell]
Tm1 0.250 0.250 0.250 [4 per cell]
Al1 0.125 0.125 0.625 [16 per cell]

The 10 most intense peaks (10 to 80 degrees two-theta), in order of rising 2θ:
2θ = 19.59°, d 4.532, rel. 643; 2θ = 32.26°, d 2.775, rel. 1000; 2θ = 38.02°, d 2.367, rel. 983; 2θ = 46.26°, d 1.962, rel. 83; 2θ = 50.69°, d 1.801, rel. 167; 2θ = 57.52°, d 1.602, rel. 388; 2θ = 61.37°, d 1.511, rel. 323; 2θ = 67.50°, d 1.388, rel. 211; 2θ = 71.05°, d 1.327, rel. 123; 2θ = 76.80°, d 1.241, rel. 167

=====

# 5
Tb3Sb4Rh8: computed powder X-ray diffraction pattern (CuKα), based on a crystal structure in Alexandria, relaxed with PBE.
Neutral-atom scattering factors, no anomalous dispersion.

Structure:
a b c (Å): 13.020 13.020 13.020
angles (deg): 90.00 90.00 90.00
Space group Fm-3m (No. 225)
Asymmetric unit:
Tb1 0.000 0.000 0.228 [24 per cell]
Sb1 0.000 0.000 0.000 [4 per cell]
Sb2 0.000 0.000 0.500 [4 per cell]
Sb3 0.000 0.250 0.250 [24 per cell]
Rh1 0.120 0.120 0.380 [32 per cell]
Rh2 0.165 0.165 0.165 [32 per cell]

The 10 most intense peaks (10 to 80 degrees two-theta), in order of rising 2θ:
2θ = 30.71°, d 2.911, rel. 94; 2θ = 33.73°, d 2.658, rel. 72; 2θ = 35.84°, d 2.506, rel. 272; 2θ = 39.14°, d 2.302, rel. 1000; 2θ = 41.01°, d 2.201, rel. 66; 2θ = 41.62°, d 2.170, rel. 69; 2θ = 43.99°, d 2.059, rel. 66; 2θ = 56.55°, d 1.627, rel. 97; 2θ = 68.78°, d 1.365, rel. 86; 2θ = 70.92°, d 1.329, rel. 225

=====

# 6
Li3Ag5Sn: computed powder X-ray diffraction pattern (CuKα), based on a crystal structure in Alexandria, relaxed with PBE.
Neutral-atom scattering factors, no anomalous dispersion.

Structure:
a b c (Å): 8.978 6.956 11.291
angles (deg): 90.00 98.12 90.00
Space group C2/m (No. 12)
Asymmetric unit:
Li1 0.000 0.000 0.000 [2 per cell]
Li2 0.000 0.000 0.500 [2 per cell]
Li3 0.173 0.500 0.007 [4 per cell]
Li4 0.249 0.000 0.377 [4 per cell]
Ag1 0.000 0.314 0.500 [4 per cell]
Ag2 0.028 0.500 0.784 [4 per cell]
Ag3 0.199 0.218 0.175 [8 per cell]
Ag4 0.227 0.500 0.388 [4 per cell]
Sn1 0.060 0.000 0.765 [4 per cell]

The 10 most intense peaks (10 to 80 degrees two-theta), in order of rising 2θ:
2θ = 15.86°, d 5.589, rel. 443; 2θ = 23.71°, d 3.752, rel. 338; 2θ = 23.88°, d 3.726, rel. 539; 2θ = 34.38°, d 2.608, rel. 694; 2θ = 35.23°, d 2.548, rel. 1000; 2θ = 38.30°, d 2.350, rel. 208; 2θ = 40.24°, d 2.241, rel. 320; 2θ = 40.48°, d 2.228, rel. 250; 2θ = 40.74°, d 2.215, rel. 205; 2θ = 42.63°, d 2.121, rel. 462

=====

# 7
Y2Cr2Fe15: computed powder X-ray diffraction pattern (CuKα), based on a crystal structure in Alexandria, relaxed with PBE.
Neutral-atom scattering factors, no anomalous dispersion.

Structure:
a b c (Å): 8.3163 8.3163 8.2918
angles (deg): 90.00 90.00 120.00
Space group P6_3/mmc (No. 194)
Asymmetric unit:
Y1 0.0000 0.0000 0.2500 [2 per cell]
Y2 0.3333 0.6667 0.2500 [2 per cell]
Cr1 0.3333 0.6667 0.6197 [4 per cell]
Fe1 0.0000 0.5000 0.0000 [6 per cell]
Fe2 0.0358 0.3661 0.7500 [12 per cell]
Fe3 0.1667 0.3333 0.0108 [12 per cell]

The 10 most intense peaks (10 to 80 degrees two-theta), in order of rising 2θ:
2θ = 30.45°, d 2.936, rel. 141; 2θ = 37.46°, d 2.401, rel. 209; 2θ = 41.17°, d 2.193, rel. 143; 2θ = 43.55°, d 2.078, rel. 1000; 2θ = 43.67°, d 2.073, rel. 227; 2θ = 46.83°, d 1.940, rel. 74; 2θ = 49.03°, d 1.858, rel. 339; 2θ = 63.33°, d 1.469, rel. 145; 2θ = 71.81°, d 1.315, rel. 101; 2θ = 79.92°, d 1.200, rel. 111

=====

Please write out number 3 again, unchanged.
Sr4Hg3Bi2: computed powder X-ray diffraction pattern (CuKα), based on a crystal structure in Alexandria, relaxed with PBE.
Neutral-atom scattering factors, no anomalous dispersion.

Structure:
a b c (Å): 9.325 5.376 12.373
angles (deg): 90.00 90.14 90.00
Space group C2/m (No. 12)
Asymmetric unit:
Sr1 0.000 0.000 0.153 [4 per cell]
Sr2 0.167 0.500 0.392 [4 per cell]
Hg1 0.000 0.000 0.500 [2 per cell]
Hg2 0.167 0.500 0.003 [4 per cell]
Bi1 0.166 0.500 0.705 [4 per cell]

The 10 most intense peaks (10 to 80 degrees two-theta), in order of rising 2θ:
2θ = 20.37°, d 4.360, rel. 252; 2θ = 28.91°, d 3.088, rel. 1000; 2θ = 33.31°, d 2.690, rel. 833; 2θ = 34.81°, d 2.577, rel. 118; 2θ = 44.63°, d 2.031, rel. 202; 2θ = 44.71°, d 2.027, rel. 187; 2θ = 56.80°, d 1.621, rel. 97; 2θ = 56.87°, d 1.619, rel. 194; 2θ = 59.52°, d 1.553, rel. 160; 2θ = 69.94°, d 1.345, rel. 100